# 1
Structure and simulated powder diffraction line list of Be4Re (a DFT-relaxed cell (GGA-PBE, Alexandria); Cu Ka).
No peak broadening, texture or thermal motion is included.

Atomic structure:
```
data_Be4Re
_chemical_formula_sum 'Be8 Re2'
_cell_length_a 3.175
_cell_length_b 3.175
_cell_length_c 8.978
_cell_angle_alpha 90.00
_cell_angle_beta 90.00
_cell_angle_gamma 90.00
_space_group_name_H-M_alt 'I 4/m m m'
_space_group_IT_number 139
_space_group_name_Hall '-I 4 2'
loop_
_atom_site_label
_atom_site_fract_x
_atom_site_fract_y
_atom_site_fract_z
Be1 0.000 0.000 0.104
Be2 0.000 0.500 0.250
Re1 0.000 0.000 0.500
```

Peak list (10 most intense, 2θ from 10° to 90°, low angle first)
(hkl)	2θ (°)	d (Å)	I/Imax
0 0 2	19.8	4.489	675
1 0 1	29.8	2.993	1000
0 0 4	40.2	2.245	385
1 0 3	41.5	2.178	489
1 1 2	45.2	2.008	427
2 0 0	58.1	1.587	248
1 0 5	59.1	1.563	188
2 0 2	62.0	1.497	160
2 1 1	66.7	1.402	210
2 1 3	73.9	1.283	182



# 2
Structure and simulated powder diffraction line list of LiLaAs2Rh5 (a DFT-relaxed cell (GGA-PBE, Alexandria); Cu Ka).
No peak broadening, texture or thermal motion is included.

Atomic structure:
```
data_LiLaAs2Rh5
_chemical_formula_sum 'Li1 La1 As2 Rh5'
_cell_length_a 4.175
_cell_length_b 4.175
_cell_length_c 9.113
_cell_angle_alpha 90.00
_cell_angle_beta 90.00
_cell_angle_gamma 90.00
_space_group_name_H-M_alt 'P 4/m m m'
_space_group_IT_number 123
_space_group_name_Hall '-P 4 2'
loop_
_atom_site_label
_atom_site_fract_x
_atom_site_fract_y
_atom_site_fract_z
Li1 0.000 0.000 0.000
La1 0.000 0.000 0.500
As1 0.500 0.500 0.139
Rh1 0.000 0.500 0.264
Rh2 0.500 0.500 0.500
```

Peak list (10 most intense, 2θ from 10° to 90°, low angle first)
(hkl)	2θ (°)	d (Å)	I/Imax
0 0 2	19.5	4.556	117
1 0 1	23.4	3.795	119
1 1 2	36.3	2.478	1000
0 0 4	39.6	2.278	120
1 1 3	42.7	2.117	359
2 0 0	43.3	2.087	504
2 0 4	60.1	1.539	137
2 2 0	63.0	1.476	163
1 1 6	69.6	1.351	167
3 1 2	74.9	1.268	232



# 3
Structure and simulated powder diffraction line list of Ba3Br (a DFT-relaxed cell (GGA-PBE, Alexandria); Cu Ka).
No peak broadening, texture or thermal motion is included.

Atomic structure:
```
data_Ba3Br
_chemical_formula_sum 'Ba12 Br4'
_cell_length_a 8.244
_cell_length_b 12.787
_cell_length_c 8.038
_cell_angle_alpha 90.00
_cell_angle_beta 90.00
_cell_angle_gamma 90.00
_space_group_name_H-M_alt 'P n m a'
_space_group_IT_number 62
_space_group_name_Hall '-P 2ac 2n'
loop_
_atom_site_label
_atom_site_fract_x
_atom_site_fract_y
_atom_site_fract_z
Ba1 0.049 0.250 0.187
Ba2 0.217 0.066 0.638
Br1 0.126 0.750 0.404
```

Peak list (10 most intense, 2θ from 10° to 90°, low angle first)
(hkl)	2θ (°)	d (Å)	I/Imax
0 3 1	23.6	3.766	669
1 0 2	24.6	3.612	451
2 1 1	25.3	3.526	489
2 2 0	25.7	3.470	1000
1 3 1	26.0	3.425	748
2 2 1	28.0	3.181	372
1 2 2	28.4	3.145	482
1 3 3	41.3	2.187	293
2 5 1	43.1	2.098	262
2 0 4	50.5	1.807	222



# 4
Structure and simulated powder diffraction line list of TlGeClF6 (a DFT-relaxed cell (GGA-PBE, Alexandria); Cu Ka).
No peak broadening, texture or thermal motion is included.

Atomic structure:
```
data_TlGeClF6
_chemical_formula_sum 'Tl1 Ge1 Cl1 F6'
_cell_length_a 4.719
_cell_length_b 5.486
_cell_length_c 5.589
_cell_angle_alpha 97.22
_cell_angle_beta 92.24
_cell_angle_gamma 99.54
_space_group_name_H-M_alt 'P 1'
_space_group_IT_number 1
_space_group_name_Hall 'P 1'
loop_
_atom_site_label
_atom_site_fract_x
_atom_site_fract_y
_atom_site_fract_z
Tl1 0.000 0.000 0.000
Ge1 0.930 0.438 0.645
Cl1 0.467 0.932 0.186
F1 0.058 0.289 0.367
F2 0.143 0.748 0.640
F3 0.222 0.339 0.825
F4 0.632 0.508 0.490
F5 0.728 0.126 0.712
F6 0.822 0.577 0.947
```

Peak list (10 most intense, 2θ from 10° to 90°, low angle first)
(hkl)	2θ (°)	d (Å)	I/Imax
0 0 1	16.0	5.534	553
0 1 0	16.5	5.361	323
1 0 0	19.1	4.645	1000
0 1 -1	21.5	4.138	686
1 0 -1	24.3	3.670	363
0 1 1	24.6	3.616	690
1 -1 1	27.6	3.233	402
-1 1 1	28.8	3.097	273
0 2 0	33.4	2.681	269
2 -1 1	42.9	2.106	351



# 5
Structure and simulated powder diffraction line list of PmH11Pd5 (a DFT-relaxed cell (GGA-PBE, Alexandria); Cu Ka).
No peak broadening, texture or thermal motion is included.

Atomic structure:
```
data_PmH11Pd5
_chemical_formula_sum 'Pm2 H22 Pd10'
_cell_length_a 8.941
_cell_length_b 8.011
_cell_length_c 4.992
_cell_angle_alpha 90.00
_cell_angle_beta 120.66
_cell_angle_gamma 90.00
_space_group_name_H-M_alt 'C 1 2/m 1'
_space_group_IT_number 12
_space_group_name_Hall '-C 2y'
loop_
_atom_site_label
_atom_site_fract_x
_atom_site_fract_y
_atom_site_fract_z
Pm1 0.000 0.000 0.000
H1 0.000 0.000 0.500
H2 0.106 0.280 0.921
H3 0.209 0.371 0.526
H4 0.229 0.500 0.071
Pd1 0.000 0.500 0.000
Pd2 0.189 0.185 0.695
```

Peak list (10 most intense, 2θ from 10° to 90°, low angle first)
(hkl)	2θ (°)	d (Å)	I/Imax
1 1 -1	21.0	4.232	229
0 2 1	30.5	2.929	587
2 2 -1	31.3	2.858	620
2 2 0	32.3	2.775	1000
2 0 -2	36.0	2.492	700
1 3 -1	38.2	2.354	500
2 0 1	38.6	2.334	524
4 0 -1	40.5	2.229	461
0 2 2	48.1	1.892	313
4 2 -2	50.2	1.817	332



# 6
Structure and simulated powder diffraction line list of ScTcNi2Ru (a DFT-relaxed cell (GGA-PBE, Alexandria); Cu Ka).
No peak broadening, texture or thermal motion is included.

Atomic structure:
```
data_ScTcNi2Ru
_chemical_formula_sum 'Sc1 Tc1 Ni2 Ru1'
_cell_length_a 4.476
_cell_length_b 4.476
_cell_length_c 4.602
_cell_angle_alpha 90.00
_cell_angle_beta 90.00
_cell_angle_gamma 90.00
_space_group_name_H-M_alt 'P 4/m m m'
_space_group_IT_number 123
_space_group_name_Hall '-P 4 2'
loop_
_atom_site_label
_atom_site_fract_x
_atom_site_fract_y
_atom_site_fract_z
Sc1 0.000 0.000 0.000
Tc1 0.500 0.500 0.500
Ni1 0.000 0.500 0.500
Ru1 0.500 0.500 0.000
```

Peak list (10 most intense, 2θ from 10° to 90°, low angle first)
(hkl)	2θ (°)	d (Å)	I/Imax
1 0 0	19.8	4.476	1000
1 1 0	28.2	3.165	234
1 1 1	34.4	2.608	621
0 0 2	39.1	2.301	488
2 0 0	40.3	2.238	897
1 0 2	44.3	2.047	245
2 1 0	45.3	2.002	229
2 0 2	57.4	1.604	604
2 2 0	58.3	1.582	288
2 2 2	72.5	1.304	290



> What is the formula in the sixth record?

ScTcNi2Ru



> Which formula does entry 1 have?

Be4Re



Please write out number 4 again, unchanged.
Structure and simulated powder diffraction line list of TlGeClF6 (a DFT-relaxed cell (GGA-PBE, Alexandria); Cu Ka).
No peak broadening, texture or thermal motion is included.

Atomic structure:
```
data_TlGeClF6
_chemical_formula_sum 'Tl1 Ge1 Cl1 F6'
_cell_length_a 4.719
_cell_length_b 5.486
_cell_length_c 5.589
_cell_angle_alpha 97.22
_cell_angle_beta 92.24
_cell_angle_gamma 99.54
_space_group_name_H-M_alt 'P 1'
_space_group_IT_number 1
_space_group_name_Hall 'P 1'
loop_
_atom_site_label
_atom_site_fract_x
_atom_site_fract_y
_atom_site_fract_z
Tl1 0.000 0.000 0.000
Ge1 0.930 0.438 0.645
Cl1 0.467 0.932 0.186
F1 0.058 0.289 0.367
F2 0.143 0.748 0.640
F3 0.222 0.339 0.825
F4 0.632 0.508 0.490
F5 0.728 0.126 0.712
F6 0.822 0.577 0.947
```

Peak list (10 most intense, 2θ from 10° to 90°, low angle first)
(hkl)	2θ (°)	d (Å)	I/Imax
0 0 1	16.0	5.534	553
0 1 0	16.5	5.361	323
1 0 0	19.1	4.645	1000
0 1 -1	21.5	4.138	686
1 0 -1	24.3	3.670	363
0 1 1	24.6	3.616	690
1 -1 1	27.6	3.233	402
-1 1 1	28.8	3.097	273
0 2 0	33.4	2.681	269
2 -1 1	42.9	2.106	351